Entry 1:
The following is a simulated X-ray powder pattern of ErCd2. It was derived from a DFT-relaxed cell (PBE, the Materials Project), using Cu Kα (weighted mean of Kα1 and Kα2).
Kinematic intensities with the Lorentz-polarization factor, no thermal factor.

```
3
Lattice="4.8828 -2.7793 0.0000 4.8828 2.7793 0.0000 -0.4304 0.0000 3.2555" Properties=species:S:1:pos:R:3 pbc="T T T"
Er 0.0000 0.0000 0.0000
Cd 3.2184 0.0000 0.3273
Cd 6.1168 0.0000 2.9282
```

Peak list (6 most intense, 2θ = 5–70°, in order of rising 2θ)
2θ/deg	I (rel.)
27.4	48
32.1	100
32.2	40
40.1	35
42.8	29
45.1	24



Entry 2:
The following is a simulated X-ray powder pattern of ErCd2. It was derived from a DFT-relaxed cell (PBE, the Materials Project), using Cu Kα (weighted mean of Kα1 and Kα2).
Kinematic intensities with the Lorentz-polarization factor, no thermal factor.

```
3
Lattice="4.9604 0.0000 0.0000 -2.4802 4.2959 0.0000 0.0000 0.0000 3.4246" Properties=species:S:1:pos:R:3 pbc="T T T"
Er 0.0000 0.0000 0.0000
Cd 0.0000 2.8639 1.7123
Cd 2.4802 1.4320 1.7123
```

Peak list (6 most intense, 2θ = 5–70°, in order of rising 2θ)
2θ/deg	I (rel.)
33.5	100
36.2	80
50.1	32
63.4	31
65.1	14
66.3	26



Entry 3:
The following is a simulated X-ray powder pattern of ErCd2. It was derived from a DFT-relaxed cell (PBE, the Materials Project), using Cu Kα (weighted mean of Kα1 and Kα2).
Kinematic intensities with the Lorentz-polarization factor, no thermal factor.

```
3
Lattice="5.4541 0.0000 0.0000 -2.7270 4.7234 0.0000 0.0000 0.0000 3.2145" Properties=species:S:1:pos:R:3 pbc="T T T"
Er 0.0000 0.0000 0.0000
Cd 0.0000 3.1489 0.1382
Cd 2.7271 1.5745 3.0763
```

Peak list (6 most intense, 2θ = 5–70°, in order of rising 2θ)
2θ/deg	I (rel.)
27.8	50
32.8	100
43.5	87
58.6	18
66.1	24
67.7	20



Entry 4:
The following is a simulated X-ray powder pattern of ErCd. It was derived from a DFT-relaxed cell (PBE, the Materials Project), using Cu Kα (weighted mean of Kα1 and Kα2).
Kinematic intensities with the Lorentz-polarization factor, no thermal factor.

```
2
Lattice="3.7199 0.0000 0.0000 0.0000 3.7199 0.0000 0.0000 0.0000 3.7199" Properties=species:S:1:pos:R:3 pbc="T T T"
Er 0.0000 0.0000 0.0000
Cd 1.8600 1.8600 1.8600
```

Peak list (6 most intense, 2θ = 5–70°, in order of rising 2θ)
2θ/deg	I (rel.)
23.9	4
34.1	100
42.1	1
49.0	18
55.2	2
61.0	36



Entry 5:
The following is a simulated X-ray powder pattern of ErCdGa. It was derived from a DFT-relaxed cell (PBE, the Materials Project), using Cu Kα (weighted mean of Kα1 and Kα2).
Kinematic intensities with the Lorentz-polarization factor, no thermal factor.

```
9
Lattice="7.2336 0.0000 0.0000 -3.6168 6.2644 0.0000 0.0000 0.0000 4.3899" Properties=species:S:1:pos:R:3 pbc="T T T"
Er -2.0855 3.6123 0.0000
Er 1.5312 2.6522 0.0000
Er 4.1711 0.0000 0.0000
Cd -0.8969 1.5534 2.1949
Cd 1.7937 0.0000 2.1949
Cd 2.7199 4.7110 2.1949
Ga 0.0000 0.0000 0.0000
Ga 0.0000 4.1763 2.1949
Ga 3.6168 2.0881 2.1949
```

Peak list (6 most intense, 2θ = 5–70°, in order of rising 2θ)
2θ/deg	I (rel.)
32.1	99
35.2	100
38.0	52
41.1	32
57.0	26
57.2	31



Entry 6:
The following is a simulated X-ray powder pattern of HoErCd2. It was derived from a DFT-relaxed cell (PBE, the Materials Project), using Cu Kα (weighted mean of Kα1 and Kα2).
Kinematic intensities with the Lorentz-polarization factor, no thermal factor.

```
4
Lattice="0.0000 3.7256 3.7256 3.7256 0.0000 3.7256 3.7256 3.7256 0.0000" Properties=species:S:1:pos:R:3 pbc="T T T"
Ho 0.0000 0.0000 0.0000
Er 3.7256 3.7256 3.7256
Cd 1.8628 1.8628 1.8628
Cd 5.5885 5.5885 5.5885
```

Peak list (6 most intense, 2θ = 5–70°, in order of rising 2θ)
2θ/deg	I (rel.)
23.9	4
34.0	100
42.0	1
48.9	18
55.1	2
60.9	37



Entry 7:
The following is a simulated X-ray powder pattern of Er2CdIn. It was derived from a DFT-relaxed cell (PBE, the Materials Project), using Cu Kα (weighted mean of Kα1 and Kα2).
Kinematic intensities with the Lorentz-polarization factor, no thermal factor.

```
4
Lattice="0.0000 3.7238 3.7238 3.7238 0.0000 3.7238 3.7238 3.7238 0.0000" Properties=species:S:1:pos:R:3 pbc="T T T"
Er 1.8619 1.8619 1.8619
Er 5.5856 5.5856 5.5856
Cd 0.0000 0.0000 0.0000
In 3.7238 3.7238 3.7238
```

Peak list (6 most intense, 2θ = 5–70°, in order of rising 2θ)
2θ/deg	I (rel.)
23.9	4
34.0	100
42.0	1
48.9	18
55.2	2
60.9	37



Entry 8:
The following is a simulated X-ray powder pattern of ErCdIn. It was derived from a DFT-relaxed cell (PBE, the Materials Project), using Cu Kα (weighted mean of Kα1 and Kα2).
Kinematic intensities with the Lorentz-polarization factor, no thermal factor.

```
6
Lattice="4.8732 0.0000 0.0000 -2.4366 4.2203 0.0000 0.0000 0.0000 7.3269" Properties=species:S:1:pos:R:3 pbc="T T T"
Er 0.0000 0.0000 1.7491
Er 0.0000 0.0000 5.5778
Cd 0.0000 2.8135 7.0895
Cd 2.4366 1.4068 0.2375
In 0.0000 2.8135 4.0063
In 2.4366 1.4068 3.3207
```

Peak list (6 most intense, 2θ = 5–70°, in order of rising 2θ)
2θ/deg	I (rel.)
32.4	100
36.9	79
42.8	14
49.9	35
63.5	16
63.6	28



Entry 9:
The following is a simulated X-ray powder pattern of Er4CdIr. It was derived from a DFT-relaxed cell (PBE, the Materials Project), using Cu Kα (weighted mean of Kα1 and Kα2).
Kinematic intensities with the Lorentz-polarization factor, no thermal factor.

```
24
Lattice="0.0000 6.7564 6.7564 6.7564 0.0000 6.7564 6.7564 6.7564 0.0000" Properties=species:S:1:pos:R:3 pbc="T T T"
Er 6.7564 6.7564 2.5322
Er 6.7564 2.5322 6.7564
Er 10.9807 6.7564 6.7564
Er 5.4185 5.4185 5.4185
Er 8.0944 8.0944 5.4185
Er 8.0944 5.4185 8.0944
Er 10.1347 10.1347 7.5754
Er 10.1347 7.5754 10.1347
Er 12.6939 10.1347 10.1347
Er 5.4185 8.0944 8.0944
Er 2.5322 6.7564 6.7564
Er 6.7564 10.9807 6.7564
Er 6.7564 6.7564 10.9807
Er 7.5754 10.1347 10.1347
Er 10.1347 12.6939 10.1347
Er 10.1347 10.1347 12.6939
Cd 2.2778 2.2778 2.2778
Cd 4.4787 4.4787 2.2778
Cd 4.4787 2.2778 4.4787
Cd 2.2778 4.4787 4.4787
Ir 8.2168 5.2960 5.2960
Ir 5.2960 8.2168 5.2960
Ir 5.2960 5.2960 8.2168
Ir 8.2168 8.2168 8.2168
```

Peak list (6 most intense, 2θ = 5–70°, in order of rising 2θ)
2θ/deg	I (rel.)
28.8	17
32.5	41
34.5	100
37.7	36
57.9	41
59.2	14



Entry 10:
The following is a simulated X-ray powder pattern of ErMgCd2. It was derived from a DFT-relaxed cell (PBE, the Materials Project), using Cu Kα (weighted mean of Kα1 and Kα2).
Kinematic intensities with the Lorentz-polarization factor, no thermal factor.

```
4
Lattice="0.0000 3.5934 3.5934 3.5934 0.0000 3.5934 3.5934 3.5934 0.0000" Properties=species:S:1:pos:R:3 pbc="T T T"
Er 0.0000 0.0000 0.0000
Mg 3.5934 3.5934 3.5934
Cd 1.7967 1.7967 1.7967
Cd 5.3902 5.3902 5.3902
```

Peak list (6 most intense, 2θ = 5–70°, in order of rising 2θ)
2θ/deg	I (rel.)
21.4	26
35.3	100
41.7	14
50.8	17
55.8	6
63.4	35



Entry 11:
The following is a simulated X-ray powder pattern of Er4CdNi. It was derived from a DFT-relaxed cell (PBE, the Materials Project), using Cu Kα (weighted mean of Kα1 and Kα2).
Kinematic intensities with the Lorentz-polarization factor, no thermal factor.

```
24
Lattice="0.0000 6.7057 6.7057 6.7057 0.0000 6.7057 6.7057 6.7057 0.0000" Properties=species:S:1:pos:R:3 pbc="T T T"
Er 6.7057 6.7057 2.5083
Er 6.7057 2.5083 6.7057
Er 10.9030 6.7057 6.7057
Er 5.3730 5.3730 5.3730
Er 8.0384 8.0384 5.3730
Er 8.0384 5.3730 8.0384
Er 10.0585 10.0585 7.5160
Er 10.0585 7.5160 10.0585
Er 12.6011 10.0585 10.0585
Er 5.3730 8.0384 8.0384
Er 2.5083 6.7057 6.7057
Er 6.7057 10.9030 6.7057
Er 6.7057 6.7057 10.9030
Er 7.5160 10.0585 10.0585
Er 10.0585 12.6011 10.0585
Er 10.0585 10.0585 12.6011
Cd 2.2564 2.2564 2.2564
Cd 4.4493 4.4493 2.2564
Cd 4.4493 2.2564 4.4493
Cd 2.2564 4.4493 4.4493
Ni 8.1478 5.2636 5.2636
Ni 5.2636 8.1478 5.2636
Ni 5.2636 5.2636 8.1478
Ni 8.1478 8.1478 8.1478
```

Peak list (6 most intense, 2θ = 5–70°, in order of rising 2θ)
2θ/deg	I (rel.)
29.0	34
32.7	59
34.8	100
38.0	28
58.4	51
69.8	16



Entry 12:
The following is a simulated X-ray powder pattern of ErCdNi4. It was derived from a DFT-relaxed cell (PBE, the Materials Project), using Cu Kα (weighted mean of Kα1 and Kα2).
Kinematic intensities with the Lorentz-polarization factor, no thermal factor.

```
6
Lattice="0.0000 3.5023 3.5023 3.5023 0.0000 3.5023 3.5023 3.5023 0.0000" Properties=species:S:1:pos:R:3 pbc="T T T"
Er 0.0000 0.0000 0.0000
Cd 5.2534 5.2534 5.2534
Ni 2.6329 2.6329 2.6329
Ni 4.3717 4.3717 2.6329
Ni 4.3717 2.6329 4.3717
Ni 2.6329 4.3717 4.3717
```

Peak list (6 most intense, 2θ = 5–70°, in order of rising 2θ)
2θ/deg	I (rel.)
22.0	9
36.3	58
42.8	100
44.8	19
65.3	20
69.8	30



- What is the formula in the tenth record?
  ErMgCd2



Repeat the ninth record exactly.
The following is a simulated X-ray powder pattern of Er4CdIr. It was derived from a DFT-relaxed cell (PBE, the Materials Project), using Cu Kα (weighted mean of Kα1 and Kα2).
Kinematic intensities with the Lorentz-polarization factor, no thermal factor.

```
24
Lattice="0.0000 6.7564 6.7564 6.7564 0.0000 6.7564 6.7564 6.7564 0.0000" Properties=species:S:1:pos:R:3 pbc="T T T"
Er 6.7564 6.7564 2.5322
Er 6.7564 2.5322 6.7564
Er 10.9807 6.7564 6.7564
Er 5.4185 5.4185 5.4185
Er 8.0944 8.0944 5.4185
Er 8.0944 5.4185 8.0944
Er 10.1347 10.1347 7.5754
Er 10.1347 7.5754 10.1347
Er 12.6939 10.1347 10.1347
Er 5.4185 8.0944 8.0944
Er 2.5322 6.7564 6.7564
Er 6.7564 10.9807 6.7564
Er 6.7564 6.7564 10.9807
Er 7.5754 10.1347 10.1347
Er 10.1347 12.6939 10.1347
Er 10.1347 10.1347 12.6939
Cd 2.2778 2.2778 2.2778
Cd 4.4787 4.4787 2.2778
Cd 4.4787 2.2778 4.4787
Cd 2.2778 4.4787 4.4787
Ir 8.2168 5.2960 5.2960
Ir 5.2960 8.2168 5.2960
Ir 5.2960 5.2960 8.2168
Ir 8.2168 8.2168 8.2168
```

Peak list (6 most intense, 2θ = 5–70°, in order of rising 2θ)
2θ/deg	I (rel.)
28.8	17
32.5	41
34.5	100
37.7	36
57.9	41
59.2	14



Repeat the eighth record exactly.
The following is a simulated X-ray powder pattern of ErCdIn. It was derived from a DFT-relaxed cell (PBE, the Materials Project), using Cu Kα (weighted mean of Kα1 and Kα2).
Kinematic intensities with the Lorentz-polarization factor, no thermal factor.

```
6
Lattice="4.8732 0.0000 0.0000 -2.4366 4.2203 0.0000 0.0000 0.0000 7.3269" Properties=species:S:1:pos:R:3 pbc="T T T"
Er 0.0000 0.0000 1.7491
Er 0.0000 0.0000 5.5778
Cd 0.0000 2.8135 7.0895
Cd 2.4366 1.4068 0.2375
In 0.0000 2.8135 4.0063
In 2.4366 1.4068 3.3207
```

Peak list (6 most intense, 2θ = 5–70°, in order of rising 2θ)
2θ/deg	I (rel.)
32.4	100
36.9	79
42.8	14
49.9	35
63.5	16
63.6	28